Diffraction record for NaTmH8Rh2. The powder diffractogram is calculated, not measured: it uses a crystal structure in Alexandria, relaxed with GGA-PBE and Cu Kα (weighted mean of Kα1 and Kα2).

Atomic structure:
Lattice parameters (Å, degrees): 5.1689 5.1689 14.5570 90.00 90.00 120.00
Space group R-3 (No. 148, hexagonal axes)
Asymmetric unit:
Na 0.0000 0.0000 0.0000 [3 per cell]
Tm 0.0000 0.0000 0.5000 [3 per cell]
H 0.0000 0.0000 0.3152 [6 per cell]
H 0.0397 0.6133 0.5539 [18 per cell]
Rh 0.0000 0.0000 0.1955 [6 per cell]

Most intense lines, 10 to 90 degrees two-theta, low angle first:
2θ = 18.3°, I = 100
2θ = 31.7°, I = 39
2θ = 34.7°, I = 92
2θ = 39.5°, I = 81
2θ = 51.7°, I = 31
2θ = 65.4°, I = 19

Diffraction record for CsCoI3. The powder diffractogram is calculated, not measured: it uses a crystal structure in Alexandria, relaxed with GGA-PBE and Cu Kα (weighted mean of Kα1 and Kα2).

Atomic structure:
Lattice parameters (Å, degrees): 8.299 9.223 14.817 90.00 124.01 90.00
Space group P2_1/c (No. 14)
Asymmetric unit:
Cs 0.209 0.078 0.246 [4 per cell]
Co 0.080 0.598 0.049 [4 per cell]
I 0.167 0.217 0.974 [4 per cell]
I 0.273 0.689 0.976 [4 per cell]
I 0.294 0.506 0.243 [4 per cell]

Most intense lines, 10 to 90 degrees two-theta, low angle first:
2θ = 24.1°, I = 100
2θ = 25.9°, I = 72
2θ = 26.4°, I = 28
2θ = 28.9°, I = 50
2θ = 29.1°, I = 55
2θ = 41.5°, I = 28

> Number 1 is which compound?

NaTmH8Rh2